Diffraction record for Pm6NdDy8. The powder diffraction line list is theoretical, not measured: it uses a crystal structure in Alexandria, relaxed with PBE and Cu Kα (weighted mean of Kα1 and Kα2).
Peak positions follow from Bragg's law for the DFT cell and can differ from measured ones.

Cell and atoms:
```
Pm6NdDy8
1.0
4.5630 2.6344 6.9412
-4.5630 2.6344 6.9412
0.0000 -5.2689 6.9412
Pm Nd Dy
6 1 8
direct
0.0377 0.6052 0.7294
0.2706 0.9623 0.3948
0.3948 0.2706 0.9623
0.6052 0.7294 0.0377
0.7294 0.0377 0.6052
0.9623 0.3948 0.2706
0.5000 0.5000 0.5000
0.0765 0.0765 0.0765
0.2184 0.6116 0.2459
0.2459 0.2184 0.6116
0.3884 0.7541 0.7816
0.6116 0.2459 0.2184
0.7541 0.7816 0.3884
0.7816 0.3884 0.7541
0.9235 0.9235 0.9235
```

Principal peaks in the range 10° ≤ 2θ ≤ 90°, sorted by position:
two_theta	d (Å)	intensity
30.2	2.957	201
31.2	2.869	1000
32.2	2.784	294
32.4	2.762	85
34.6	2.591	109
36.5	2.463	143
39.5	2.281	60
52.6	1.738	112
53.1	1.725	58
53.5	1.712	58
54.9	1.674	86
59.7	1.548	115



Diffraction record for PtRh7W4. The powder diffraction line list is theoretical, not measured: it uses a crystal structure in Alexandria, relaxed with PBE and Cu Kα (weighted mean of Kα1 and Kα2).
Peak positions follow from Bragg's law for the DFT cell and can differ from measured ones.

Cell and atoms:
```
PtRh7W4
1.0
5.1595 -2.3500 0.0000
5.1595 2.3500 0.0000
-4.7126 0.0000 8.0779
Pt Rh W
1 7 4
direct
0.0000 0.0000 0.0000
0.0704 0.0704 0.3534
0.2120 0.2120 0.9077
0.3551 0.3551 0.4463
0.5000 0.5000 0.0000
0.6449 0.6449 0.5537
0.7880 0.7880 0.0923
0.9296 0.9296 0.6466
0.2664 0.2664 0.6795
0.4215 0.4215 0.2292
0.5785 0.5785 0.7708
0.7336 0.7336 0.3205
```

Principal peaks in the range 10° ≤ 2θ ≤ 90°, sorted by position:
two_theta	d (Å)	intensity
27.3	3.267	229
32.5	2.754	480
37.2	2.416	764
38.3	2.350	1000
38.6	2.334	343
42.0	2.152	871
45.1	2.012	570
48.9	1.864	171
54.5	1.684	508
55.5	1.656	240
71.8	1.315	187
84.1	1.151	190



Diffraction record for TmB6Mo2. The powder diffraction line list is theoretical, not measured: it uses a crystal structure in Alexandria, relaxed with PBE and Cu Kα (weighted mean of Kα1 and Kα2).
Peak positions follow from Bragg's law for the DFT cell and can differ from measured ones.

Cell and atoms:
```
TmB6Mo2
1.0
-1.5563 3.5040 4.2622
1.5563 -3.5040 4.2622
1.5563 3.5040 -4.2622
Tm B Mo
1 6 2
direct
0.0000 0.0000 0.0000
0.0642 0.3068 0.7574
0.3252 0.5000 0.8252
0.4506 0.6932 0.7574
0.5494 0.3068 0.2426
0.6748 0.5000 0.1748
0.9358 0.6932 0.2426
0.3462 0.8462 0.5000
0.6538 0.1538 0.5000
```

Principal peaks in the range 10° ≤ 2θ ≤ 90°, sorted by position:
two_theta	d (Å)	intensity
25.4	3.504	863
30.6	2.924	671
34.0	2.633	1000
38.0	2.366	705
40.2	2.245	909
50.6	1.804	351
53.6	1.711	227
53.7	1.706	445
61.7	1.503	214
65.7	1.422	207
66.6	1.405	205
70.3	1.340	240



Diffraction record for AcLaHgTe. The powder diffraction line list is theoretical, not measured: it uses a crystal structure in Alexandria, relaxed with PBE and Cu Kα (weighted mean of Kα1 and Kα2).
Peak positions follow from Bragg's law for the DFT cell and can differ from measured ones.

Cell and atoms:
```
AcLaHgTe
1.0
4.6217 0.0000 0.0000
0.0000 4.6217 0.0000
0.0000 0.0000 6.7009
Ac La Hg Te
1 1 1 1
direct
0.0000 0.0000 0.0000
0.5000 0.5000 0.5000
0.5000 0.5000 0.0000
0.0000 0.0000 0.5000
```

Principal peaks in the range 10° ≤ 2θ ≤ 90°, sorted by position:
two_theta	d (Å)	intensity
26.6	3.350	533
27.3	3.268	1000
38.5	2.339	813
39.0	2.311	392
47.8	1.902	440
56.3	1.634	136
62.3	1.491	201
63.3	1.469	191
63.7	1.462	188
69.3	1.356	147
70.3	1.340	284
88.9	1.101	160



Diffraction record for Ce2NdTh. The powder diffraction line list is theoretical, not measured: it uses a crystal structure in Alexandria, relaxed with PBE and Cu Kα (weighted mean of Kα1 and Kα2).
Peak positions follow from Bragg's law for the DFT cell and can differ from measured ones.

Cell and atoms:
```
Ce2NdTh
1.0
4.9239 0.0000 0.0000
0.0000 4.9239 0.0000
0.0000 0.0000 4.9869
Ce Nd Th
2 1 1
direct
0.0000 0.5000 0.0000
0.5000 0.0000 0.0000
0.0000 0.0000 0.5000
0.5000 0.5000 0.5000
```

Principal peaks in the range 10° ≤ 2θ ≤ 90°, sorted by position:
two_theta	d (Å)	intensity
31.3	2.855	1000
36.0	2.493	173
36.5	2.462	333
52.2	1.752	241
52.6	1.741	118
61.9	1.500	145
62.5	1.486	281
65.4	1.427	123
85.4	1.136	120
86.0	1.130	59
87.8	1.112	57
88.6	1.104	56



Diffraction record for KTl10Sn2. The powder diffraction line list is theoretical, not measured: it uses a crystal structure in Alexandria, relaxed with PBE and Cu Kα (weighted mean of Kα1 and Kα2).
Peak positions follow from Bragg's law for the DFT cell and can differ from measured ones.

Cell and atoms:
```
KTl10Sn2
1.0
0.0000 7.9156 8.2403
3.2400 0.0000 8.2403
3.2400 7.9156 0.0000
K Tl Sn
1 10 2
direct
0.0000 0.0000 0.0000
0.0000 0.0000 0.5000
0.0049 0.3548 0.6452
0.2862 0.4959 0.5041
0.3548 0.0049 0.9951
0.4959 0.2862 0.7138
0.5000 0.5000 0.0000
0.5041 0.7138 0.2862
0.6452 0.9951 0.0049
0.7138 0.5041 0.4959
0.9951 0.6452 0.3548
0.0000 0.5000 0.0000
0.5000 0.0000 0.5000
```

Principal peaks in the range 10° ≤ 2θ ≤ 90°, sorted by position:
two_theta	d (Å)	intensity
15.7	5.636	322
27.2	3.282	463
31.0	2.889	675
31.3	2.854	699
31.8	2.818	748
31.9	2.803	563
34.6	2.595	365
35.0	2.567	448
35.2	2.547	604
35.5	2.526	405
35.8	2.509	1000
56.0	1.641	406



Diffraction record for KPuI5. The powder diffraction line list is theoretical, not measured: it uses a crystal structure in Alexandria, relaxed with PBE and Cu Kα (weighted mean of Kα1 and Kα2).
Peak positions follow from Bragg's law for the DFT cell and can differ from measured ones.

Cell and atoms:
```
KPuI5
1.0
6.9205 -4.5322 0.0000
6.9205 4.5322 0.0000
-4.9323 0.0000 11.1180
K Pu I
2 2 10
direct
0.0326 0.9674 0.7500
0.9674 0.0326 0.2500
0.5000 0.5000 0.0000
0.5000 0.5000 0.5000
0.1060 0.7056 0.9880
0.1580 0.4159 0.3805
0.2944 0.8940 0.5120
0.4159 0.1580 0.8805
0.4370 0.5630 0.7500
0.5630 0.4370 0.2500
0.5841 0.8420 0.1195
0.7056 0.1060 0.4880
0.8420 0.5841 0.6195
0.8940 0.2944 0.0120
```

Principal peaks in the range 10° ≤ 2θ ≤ 90°, sorted by position:
two_theta	d (Å)	intensity
12.0	7.368	1000
14.0	6.326	334
15.9	5.559	389
16.4	5.401	268
17.6	5.048	368
23.6	3.773	545
24.2	3.681	442
27.3	3.265	427
29.4	3.038	573
34.6	2.594	258
35.9	2.503	286
36.9	2.437	259